# 1
Structure and simulated XRD peak list of ScRu2Pt (a structure optimized by DFT (PBE); Cu Kα X-rays).
Intensities are scaled so that the largest is 100.

Structure:
a = 4.828 Å, b = 4.828 Å, c = 4.828 Å
α = 131.38°, β = 131.38°, γ = 71.20°
Sites, in units of the cell vectors:
Sc  0.000  0.000  0.000
Ru  0.500  0.500  0.000
Ru  0.750  0.250  0.500
Pt  0.250  0.750  0.500

Main lines, by angle (2θ from 10° to 90°):
22.65°, I 11; 25.11°, I 18; 31.84°, I 10; 39.43°, I 100; 45.65°, I 33; 46.25°, I 16; 51.54°, I 5; 66.54°, I 10; 67.01°, I 20; 80.18°, I 25; 81.06°, I 12; 84.86°, I 11



# 2
Structure and simulated XRD peak list of K2NdPa2Se6 (a structure optimized by DFT (PBE); Cu Kα X-rays).
Intensities are scaled so that the largest is 100.

Structure:
a = 7.290 Å, b = 7.290 Å, c = 8.264 Å
α = 98.18°, β = 98.18°, γ = 120.14°
Sites, in units of the cell vectors:
K  0.164  0.836  0.000
K  0.836  0.164  0.000
Nd  0.000  0.000  0.500
Pa  0.336  0.664  0.500
Pa  0.664  0.336  0.500
Se  0.064  0.410  0.704
Se  0.276  0.276  0.292
Se  0.410  0.064  0.704
Se  0.590  0.936  0.296
Se  0.724  0.724  0.708
Se  0.936  0.590  0.296

Main lines, by angle (2θ from 10° to 90°):
11.17°, I 100; 24.70°, I 17; 28.68°, I 71; 28.89°, I 35; 36.08°, I 20; 38.99°, I 13; 39.21°, I 26; 42.95°, I 12; 43.05°, I 25; 44.52°, I 15; 49.12°, I 11; 52.59°, I 13



# 3
Structure and simulated XRD peak list of LuPuIn2 (a structure optimized by DFT (PBE); Cu Kα X-rays).
Intensities are scaled so that the largest is 100.

Structure:
a = 3.284 Å, b = 3.284 Å, c = 9.416 Å
α = 90.00°, β = 90.00°, γ = 90.00°
Sites, in units of the cell vectors:
Lu  0.000  0.000  0.000
Pu  0.000  0.000  0.500
In  0.500  0.500  0.243
In  0.500  0.500  0.757

Main lines, by angle (2θ from 10° to 90°):
18.85°, I 7; 27.15°, I 6; 33.26°, I 100; 38.23°, I 17; 38.78°, I 33; 43.45°, I 4; 55.59°, I 23; 56.00°, I 11; 65.97°, I 14; 66.71°, I 27; 69.84°, I 12; 83.20°, I 4



# 4
Structure and simulated XRD peak list of LaCeSmTc (a structure optimized by DFT (PBE); Cu Kα X-rays).
Intensities are scaled so that the largest is 100.

Structure:
a = 4.440 Å, b = 4.440 Å, c = 7.396 Å
α = 107.45°, β = 107.45°, γ = 60.26°
Sites, in units of the cell vectors:
La  0.000  0.000  0.000
Ce  0.558  0.558  0.679
Sm  0.788  0.788  0.366
Tc  0.211  0.211  0.633

Main lines, by angle (2θ from 10° to 90°):
12.76°, I 25; 23.50°, I 15; 28.85°, I 75; 31.66°, I 100; 38.95°, I 22; 40.47°, I 24; 40.64°, I 48; 50.48°, I 10; 52.31°, I 16; 57.42°, I 14; 57.55°, I 29; 67.55°, I 13



# 5
Structure and simulated XRD peak list of Ce6Sb3Te (a structure optimized by DFT (PBE); Cu Kα X-rays).
Intensities are scaled so that the largest is 100.

Structure:
a = 7.525 Å, b = 8.771 Å, c = 12.388 Å
α = 90.00°, β = 126.90°, γ = 90.00°
Sites, in units of the cell vectors:
Ce  0.035  0.095  0.251
Ce  0.035  0.405  0.751
Ce  0.216  0.678  0.064
Ce  0.216  0.822  0.564
Ce  0.412  0.176  0.065
Ce  0.412  0.324  0.565
Ce  0.588  0.676  0.435
Ce  0.588  0.824  0.935
Ce  0.784  0.178  0.436
Ce  0.784  0.322  0.936
Ce  0.965  0.595  0.249
Ce  0.965  0.905  0.749
Sb  0.000  0.000  0.000
Sb  0.000  0.500  0.500
Sb  0.305  0.123  0.750
Sb  0.305  0.377  0.250
Sb  0.695  0.623  0.750
Sb  0.695  0.877  0.250
Te  0.500  0.000  0.500
Te  0.500  0.500  0.000

Main lines, by angle (2θ from 10° to 90°):
25.76°, I 47; 29.44°, I 35; 29.63°, I 100; 29.75°, I 62; 31.20°, I 35; 31.37°, I 44; 32.58°, I 33; 32.70°, I 32; 32.87°, I 68; 36.27°, I 29; 41.51°, I 30; 41.82°, I 38



# 6
Structure and simulated XRD peak list of La2Mg16Al (a structure optimized by DFT (PBE); Cu Kα X-rays).
Intensities are scaled so that the largest is 100.

Structure:
a = 7.803 Å, b = 7.803 Å, c = 7.803 Å
α = 82.44°, β = 82.44°, γ = 82.44°
Sites, in units of the cell vectors:
La  0.000  0.000  0.000
La  0.347  0.347  0.347
Mg  0.023  0.023  0.512
Mg  0.023  0.512  0.023
Mg  0.174  0.671  0.671
Mg  0.322  0.322  0.829
Mg  0.322  0.829  0.322
Mg  0.373  0.672  0.971
Mg  0.373  0.971  0.672
Mg  0.512  0.023  0.023
Mg  0.671  0.174  0.671
Mg  0.671  0.671  0.174
Mg  0.672  0.373  0.971
Mg  0.672  0.971  0.373
Mg  0.762  0.762  0.762
Mg  0.829  0.322  0.322
Mg  0.971  0.373  0.672
Mg  0.971  0.672  0.373
Al  0.569  0.569  0.569

Main lines, by angle (2θ from 10° to 90°):
15.33°, I 25; 17.25°, I 39; 24.68°, I 77; 29.01°, I 22; 30.10°, I 50; 34.90°, I 56; 35.04°, I 100; 35.46°, I 25; 35.78°, I 24; 50.29°, I 26; 50.60°, I 21; 56.70°, I 20



# 7
Structure and simulated XRD peak list of Li2In2GeS6 (a structure optimized by DFT (PBE); Cu Kα X-rays).
Intensities are scaled so that the largest is 100.

Structure:
a = 7.169 Å, b = 7.169 Å, c = 12.343 Å
α = 107.20°, β = 107.20°, γ = 60.49°
Sites, in units of the cell vectors:
Li  0.103  0.897  0.500
Li  0.496  0.916  0.159
Li  0.897  0.103  0.000
Li  0.916  0.496  0.659
In  0.272  0.417  0.004
In  0.417  0.272  0.504
In  0.424  0.613  0.809
In  0.613  0.424  0.309
Ge  0.040  0.504  0.247
Ge  0.504  0.040  0.747
S  0.172  0.617  0.618
S  0.181  0.227  0.801
S  0.218  0.706  0.307
S  0.227  0.181  0.301
S  0.267  0.761  0.989
S  0.453  0.943  0.557
S  0.617  0.172  0.118
S  0.704  0.737  0.821
S  0.706  0.218  0.807
S  0.737  0.704  0.321
S  0.761  0.267  0.489
S  0.943  0.453  0.057

Main lines, by angle (2θ from 10° to 90°):
14.43°, I 100; 15.26°, I 26; 17.53°, I 52; 24.87°, I 28; 25.84°, I 23; 25.97°, I 33; 29.27°, I 35; 30.40°, I 26; 30.84°, I 28; 31.66°, I 23; 38.44°, I 22; 43.54°, I 24



# 8
Structure and simulated XRD peak list of Mg6ZnCO8 (a structure optimized by DFT (PBE); Cu Kα X-rays).
Intensities are scaled so that the largest is 100.

Structure:
a = 4.232 Å, b = 4.232 Å, c = 8.526 Å
α = 90.00°, β = 90.00°, γ = 90.00°
Sites, in units of the cell vectors:
Mg  0.000  0.000  0.000
Mg  0.000  0.500  0.254
Mg  0.000  0.500  0.746
Mg  0.500  0.000  0.254
Mg  0.500  0.000  0.746
Mg  0.500  0.500  0.000
Zn  0.000  0.000  0.500
C  0.500  0.500  0.500
O  0.000  0.000  0.248
O  0.000  0.000  0.752
O  0.000  0.500  0.000
O  0.000  0.500  0.500
O  0.500  0.000  0.000
O  0.500  0.000  0.500
O  0.500  0.500  0.251
O  0.500  0.500  0.749

Main lines, by angle (2θ from 10° to 90°):
10.38°, I 13; 20.99°, I 17; 23.47°, I 26; 29.75°, I 15; 36.69°, I 26; 38.14°, I 8; 42.41°, I 51; 42.73°, I 100; 61.78°, I 57; 62.02°, I 28; 74.28°, I 10; 78.02°, I 26



# 9
Structure and simulated XRD peak list of PuPd2F11 (a structure optimized by DFT (PBE); Cu Kα X-rays).
Intensities are scaled so that the largest is 100.

Structure:
a = 8.163 Å, b = 8.163 Å, c = 8.163 Å
α = 114.58°, β = 114.42°, γ = 99.82°
Sites, in units of the cell vectors:
Pu  0.250  0.250  0.000
Pu  0.750  0.750  0.000
Pd  0.166  0.666  0.833
Pd  0.334  0.166  0.500
Pd  0.666  0.834  0.500
Pd  0.834  0.334  0.167
F  0.000  0.500  0.500
F  0.073  0.925  0.271
F  0.075  0.346  0.148
F  0.154  0.425  0.852
F  0.183  0.317  0.500
F  0.198  0.927  0.852
F  0.302  0.154  0.729
F  0.317  0.817  0.134
F  0.346  0.198  0.271
F  0.425  0.573  0.271
F  0.427  0.698  0.852
F  0.500  0.000  0.500
F  0.573  0.302  0.148
F  0.575  0.427  0.729
F  0.654  0.802  0.729
F  0.683  0.183  0.866
F  0.698  0.846  0.271
F  0.802  0.073  0.148
F  0.817  0.683  0.500
F  0.846  0.575  0.148
F  0.925  0.654  0.852
F  0.927  0.075  0.729

Main lines, by angle (2θ from 10° to 90°):
14.18°, I 46; 22.10°, I 100; 24.07°, I 42; 26.36°, I 76; 28.59°, I 13; 32.05°, I 33; 34.13°, I 14; 44.51°, I 18; 45.09°, I 27; 45.96°, I 16; 46.95°, I 33; 47.50°, I 37



# 10
Structure and simulated XRD peak list of Zr4AgTe (a structure optimized by DFT (PBE); Cu Kα X-rays).
Intensities are scaled so that the largest is 100.

Structure:
a = 5.800 Å, b = 5.800 Å, c = 5.800 Å
α = 60.00°, β = 60.00°, γ = 60.00°
Sites, in units of the cell vectors:
Zr  0.124  0.124  0.124
Zr  0.124  0.124  0.627
Zr  0.124  0.627  0.124
Zr  0.627  0.124  0.124
Ag  0.750  0.750  0.750
Te  0.500  0.500  0.500

Main lines, by angle (2θ from 10° to 90°):
18.74°, I 1; 30.83°, I 35; 36.32°, I 100; 38.00°, I 33; 44.16°, I 2; 54.83°, I 13; 58.46°, I 32; 64.23°, I 27; 72.94°, I 6; 76.09°, I 11; 77.13°, I 12; 89.38°, I 7



# 11
Structure and simulated XRD peak list of SmDyGa2Pt2 (a structure optimized by DFT (PBE); Cu Kα X-rays).
Intensities are scaled so that the largest is 100.

Structure:
a = 4.479 Å, b = 4.479 Å, c = 7.076 Å
α = 90.00°, β = 90.00°, γ = 120.00°
Sites, in units of the cell vectors:
Sm  0.000  0.000  0.000
Dy  0.000  0.000  0.500
Ga  0.333  0.667  0.737
Ga  0.667  0.333  0.263
Pt  0.333  0.667  0.264
Pt  0.667  0.333  0.736

Main lines, by angle (2θ from 10° to 90°):
26.20°, I 25; 34.30°, I 100; 40.27°, I 70; 44.98°, I 7; 48.08°, I 5; 51.67°, I 10; 53.91°, I 28; 67.47°, I 28; 69.38°, I 26; 73.20°, I 12; 86.19°, I 7; 87.02°, I 8



# 12
Structure and simulated XRD peak list of Ac2La5TbSm (a structure optimized by DFT (PBE); Cu Kα X-rays).
Intensities are scaled so that the largest is 100.

Structure:
a = 11.724 Å, b = 11.724 Å, c = 10.639 Å
α = 90.00°, β = 90.00°, γ = 151.90°
Sites, in units of the cell vectors:
Ac  0.115  0.885  0.513
Ac  0.115  0.885  0.987
Ac  0.885  0.115  0.013
Ac  0.885  0.115  0.487
La  0.004  0.996  0.250
La  0.278  0.722  0.560
La  0.278  0.722  0.940
La  0.378  0.622  0.250
La  0.500  0.500  0.000
La  0.500  0.500  0.500
La  0.622  0.378  0.750
La  0.722  0.278  0.060
La  0.722  0.278  0.440
La  0.996  0.004  0.750
Tb  0.397  0.603  0.750
Tb  0.603  0.397  0.250
Sm  0.215  0.785  0.250
Sm  0.785  0.215  0.750

Main lines, by angle (2θ from 10° to 90°):
25.76°, I 24; 29.94°, I 16; 30.25°, I 100; 31.44°, I 44; 33.70°, I 17; 39.62°, I 6; 45.07°, I 9; 46.75°, I 21; 55.22°, I 19; 57.43°, I 8; 57.79°, I 13; 58.14°, I 9